Structure and computed XRD peak list of LiCuO2 (DFT lattice parameters and positions (GGA-PBE); Cu Kα (λ = 1.5418 Å)).
Intensities are scaled so that the largest is 100.

Cell and atoms:
```
8
Lattice="1.6410 -5.0921 0.0000 1.6410 5.0921 0.0000 0.0000 0.0000 5.2964" Properties=species:S:1:pos:R:3 pbc="T T T"
Li 1.6410 2.8757 3.9723
Li 1.6410 -2.8757 1.3241
Cu 1.6410 0.0411 3.9723
Cu 1.6410 -0.0411 1.3241
O 1.6410 1.2791 0.0432
O 1.6410 1.2791 2.6050
O 1.6410 -1.2791 2.6914
O 1.6410 -1.2791 5.2532
```

The 10 most intense peaks (5 to 70 degrees two-theta), sorted by position:
2θ/deg	I/Imax
17.42	78
28.58	100
38.14	13
38.31	22
44.87	14
49.67	25
51.90	36
56.04	9
64.30	14
69.92	6

Structure and computed XRD peak list of LiLaMg14 (DFT lattice parameters and positions (GGA-PBE); Cu Kα (λ = 1.5418 Å)).
Intensities are scaled so that the largest is 100.

Cell and atoms:
```
16
Lattice="10.3942 0.0000 0.0000 0.0000 3.2590 5.7428 0.0000 -3.2590 5.7428" Properties=species:S:1:pos:R:3 pbc="T T T"
Li 0.0000 0.0000 0.0000
La 0.0000 0.0000 5.8320
Mg 0.0000 -1.6909 2.9898
Mg 0.0000 1.6909 2.9898
Mg 2.5356 0.0000 1.9527
Mg 2.6781 -1.6611 4.8224
Mg 2.6850 0.0000 7.7417
Mg 2.6781 1.6611 4.8224
Mg 5.1971 0.0000 0.0676
Mg 5.1971 -1.6256 2.9297
Mg 5.1971 1.6256 2.9297
Mg 5.1971 0.0000 5.8085
Mg 7.7161 -1.6611 4.8224
Mg 7.7091 0.0000 7.7417
Mg 7.7161 1.6611 4.8224
Mg 7.8585 0.0000 1.9527
```

The 10 most intense peaks (5 to 70 degrees two-theta), sorted by position:
2θ/deg	I/Imax
8.51	26
15.63	34
17.82	52
23.22	31
31.57	28
34.52	38
35.73	55
36.10	100
55.69	21
67.19	20